For SrSiNiSn2, a DFT-relaxed cell (PBE, OQMD) gives the computed powder diffractogram in this record (Cu Kα X-rays).

Principal peaks in the range 2θ from 10° to 90°, by angle:
| 2θ/deg | d [Å] | I/Imax |
| --- | --- | --- |
| 16.77 | 5.287 | 22.1 |
| 32.01 | 2.796 | 16.9 |
| 32.36 | 2.766 | 100.0 |
| 33.91 | 2.644 | 12.4 |
| 39.25 | 2.295 | 45.4 |
| 44.18 | 2.050 | 20.2 |
| 52.82 | 1.733 | 14.6 |
| 56.71 | 1.623 | 15.5 |
| 59.70 | 1.549 | 16.0 |
| 66.83 | 1.400 | 25.6 |

Crystal structure
```
data_SrSiNiSn2
_chemical_formula_sum 'Sr2 Si2 Ni2 Sn4'
_cell_length_a 4.591
_cell_length_b 4.591
_cell_length_c 10.575
_cell_angle_alpha 90.00
_cell_angle_beta 90.00
_cell_angle_gamma 90.00
_symmetry_space_group_name_H-M 'I 4 m m'
_symmetry_Int_Tables_number 107
_symmetry_space_group_name_Hall 'I 4 -2'
loop_
_atom_site_label
_atom_site_type_symbol
_atom_site_fract_x
_atom_site_fract_y
_atom_site_fract_z
Sr1 Sr 0.000 0.000 0.000
Si1 Si 0.000 0.000 0.422
Ni1 Ni 0.000 0.000 0.634
Sn1 Sn 0.000 0.500 0.253
```

For LaNbN2O, a DFT-relaxed cell (PBE, OQMD) gives the computed powder diffractogram in this record (Cu Kα X-rays).

Principal peaks in the range 2θ from 10° to 90°, by angle:
| 2θ/deg | d [Å] | I/Imax |
| --- | --- | --- |
| 30.97 | 2.887 | 100.0 |
| 31.20 | 2.866 | 99.1 |
| 44.54 | 2.034 | 53.7 |
| 55.09 | 1.667 | 19.4 |
| 55.24 | 1.663 | 40.0 |
| 55.68 | 1.651 | 20.6 |
| 64.56 | 1.444 | 14.9 |
| 65.08 | 1.433 | 15.7 |
| 73.44 | 1.289 | 15.6 |
| 73.82 | 1.284 | 15.9 |

Crystal structure
```
data_LaNbN2O
_chemical_formula_sum 'La3 Nb3 N6 O3'
_cell_length_a 5.7744
_cell_length_b 5.7744
_cell_length_c 6.9958
_cell_angle_alpha 90.00
_cell_angle_beta 90.00
_cell_angle_gamma 120.00
_symmetry_space_group_name_H-M 'P 32 2 1'
_symmetry_Int_Tables_number 154
_symmetry_space_group_name_Hall 'P 32 2"'
loop_
_atom_site_label
_atom_site_type_symbol
_atom_site_fract_x
_atom_site_fract_y
_atom_site_fract_z
La1 La 0.0000 0.6869 0.3333
Nb1 Nb 0.0000 0.6506 0.8333
N1 N 0.1219 0.4995 0.6321
O1 O 0.0000 0.1097 0.3333
```

For CoNiAg2, a DFT-relaxed cell (PBE, OQMD) gives the computed powder diffractogram in this record (Cu Kα X-rays).

Principal peaks in the range 2θ from 10° to 90°, by angle:
| 2θ/deg | d [Å] | I/Imax |
| --- | --- | --- |
| 24.99 | 3.563 | 9.8 |
| 41.38 | 2.182 | 100.0 |
| 48.95 | 1.861 | 4.7 |
| 59.95 | 1.543 | 15.6 |
| 65.97 | 1.416 | 1.9 |
| 75.46 | 1.260 | 30.7 |
| 80.94 | 1.188 | 1.5 |
| 89.91 | 1.091 | 10.0 |

Crystal structure
```
data_CoNiAg2
_chemical_formula_sum 'Co4 Ni4 Ag8'
_cell_length_a 6.172
_cell_length_b 6.172
_cell_length_c 6.172
_cell_angle_alpha 90.00
_cell_angle_beta 90.00
_cell_angle_gamma 90.00
_symmetry_space_group_name_H-M 'F -4 3 m'
_symmetry_Int_Tables_number 216
_symmetry_space_group_name_Hall 'F -4 2 3'
loop_
_atom_site_label
_atom_site_type_symbol
_atom_site_fract_x
_atom_site_fract_y
_atom_site_fract_z
Co1 Co 0.000 0.000 0.000
Ni1 Ni 0.250 0.250 0.250
Ag1 Ag 0.000 0.000 0.500
Ag2 Ag 0.250 0.250 0.750
```